This entry pairs a crystal structure of KZnBiAu3 with its computed PXRD pattern. Radiation: λ = 1.5418 Å (Cu Kα). Structure: a structure optimized by DFT (PBE).

Crystal structure
Lattice parameters (Å, degrees): 7.3002 7.3002 7.2267 91.90 91.90 119.85
Sites, in units of the cell vectors:
K (0.2398, 0.7602, 0.7500)
K (0.7602, 0.2398, 0.2500)
Zn (0.4923, 0.5077, 0.2500)
Zn (0.5077, 0.4923, 0.7500)
Bi (0.0599, 0.9401, 0.2500)
Bi (0.9401, 0.0599, 0.7500)
Au (0.2114, 0.3422, 0.4841)
Au (0.2862, 0.7138, 0.2500)
Au (0.3422, 0.2114, 0.9841)
Au (0.6578, 0.7886, 0.0159)
Au (0.7138, 0.2862, 0.7500)
Au (0.7886, 0.6578, 0.5159)

Main lines, by intensity (10 to 80 degrees two-theta):
d (Å)  Position (°2θ)  Rel. int.
4.624  19.19  100
3.213  27.77  71
2.654  33.77  63
2.484  36.16  59
6.317  14.02  50
2.252  40.03  40
2.297  39.22  32
2.389  37.66  27
2.313  38.94  24
3.160  28.24  23